Starting from a PBE+U-relaxed structure, the powder XRD pattern of Li2Cr3SnO8 was calculated for Cu Kα (weighted mean of Kα1 and Kα2).
Kinematic intensities with the Lorentz-polarization factor, no thermal factor.

Top 6 peaks for 15° ≤ 2θ ≤ 90°, in order of falling intensity:
- 2θ = 18.08°, rel. 100.0
- 2θ = 42.54°, rel. 52.4
- 2θ = 35.01°, rel. 50.0
- 2θ = 61.74°, rel. 31.8
- 2θ = 56.24°, rel. 20.4
- 2θ = 36.62°, rel. 17.5

Cell and atoms:
abc: 8.4924 8.5030 8.5038
angles: 90.00 90.00 90.00
Positions (direct):
Li 0.0008 0.0011 0.0011
Li 0.2473 0.2475 0.2471
Li 0.2527 0.7525 0.7471
Li 0.4992 0.9989 0.5011
Li 0.5008 0.4989 0.9989
Li 0.7473 0.2525 0.7529
Li 0.7527 0.7475 0.2529
Li 0.9992 0.5011 0.4989
Cr 0.1167 0.1354 0.6261
Cr 0.1258 0.3837 0.8645
Cr 0.1352 0.6264 0.1164
Cr 0.3648 0.3736 0.6164
Cr 0.3742 0.6163 0.3645
Cr 0.3833 0.8646 0.1261
Cr 0.6167 0.3646 0.3739
Cr 0.6258 0.1163 0.1355
Cr 0.6352 0.8736 0.8836
Cr 0.8648 0.1264 0.3836
Cr 0.8742 0.8837 0.6355
Cr 0.8833 0.6354 0.8739
Sn 0.1244 0.8764 0.3760
Sn 0.3756 0.1236 0.8760
Sn 0.6244 0.6236 0.6240
Sn 0.8756 0.3764 0.1240
O 0.1023 0.1231 0.3904
O 0.1098 0.8977 0.6229
O 0.1111 0.6111 0.8890
O 0.1226 0.3907 0.1020
O 0.1281 0.1481 0.8607
O 0.1342 0.3662 0.6342
O 0.1394 0.6285 0.3518
O 0.1479 0.8610 0.1282
O 0.3521 0.1390 0.6282
O 0.3606 0.3715 0.8518
O 0.3658 0.6338 0.1342
O 0.3719 0.8519 0.3607
O 0.3774 0.6093 0.6020
O 0.3889 0.3889 0.3890
O 0.3902 0.1023 0.1229
O 0.3977 0.8769 0.8904
O 0.6023 0.3769 0.6096
O 0.6098 0.6023 0.3771
O 0.6111 0.8889 0.1110
O 0.6226 0.1093 0.8980
O 0.6281 0.3519 0.1393
O 0.6342 0.1338 0.3658
O 0.6394 0.8715 0.6482
O 0.6479 0.6390 0.8718
O 0.8521 0.3610 0.3718
O 0.8606 0.1285 0.1482
O 0.8658 0.8662 0.8658
O 0.8719 0.6481 0.6393
O 0.8774 0.8907 0.3980
O 0.8889 0.1111 0.6110
O 0.8902 0.3977 0.8771
O 0.8977 0.6231 0.1096


Starting from a PBE+U-relaxed structure, the powder XRD pattern of Li2Cr3SnO8 was calculated for Cu Kα (weighted mean of Kα1 and Kα2).
Kinematic intensities with the Lorentz-polarization factor, no thermal factor.

Top 6 peaks for 15° ≤ 2θ ≤ 90°, in order of falling intensity:
- 2θ = 17.99°, rel. 100.0
- 2θ = 42.50°, rel. 34.9
- 2θ = 34.94°, rel. 33.5
- 2θ = 61.26°, rel. 22.0
- 2θ = 41.97°, rel. 18.3
- 2θ = 36.44°, rel. 17.7

Cell and atoms:
abc: 8.5084 8.5084 8.6106
angles: 90.00 90.00 90.00
Positions (direct):
Li 0.0012 0.2502 0.3763
Li 0.2502 0.0012 0.6237
Li 0.2498 0.5012 0.1263
Li 0.4988 0.7502 0.3737
Li 0.5012 0.2498 0.8737
Li 0.7502 0.4988 0.6263
Li 0.7498 0.9988 0.1237
Li 0.9988 0.7498 0.8763
Cr 0.1200 0.6272 0.5067
Cr 0.1272 0.3800 0.7567
Cr 0.1345 0.1345 0.0000
Cr 0.3655 0.6345 0.7500
Cr 0.3728 0.8800 0.9933
Cr 0.3800 0.1272 0.2433
Cr 0.6200 0.8728 0.7433
Cr 0.6272 0.1200 0.4933
Cr 0.6345 0.3655 0.2500
Cr 0.8655 0.8655 0.5000
Cr 0.8728 0.6200 0.2567
Cr 0.8800 0.3728 0.0067
Sn 0.1240 0.8760 0.2500
Sn 0.3760 0.3760 0.5000
Sn 0.6240 0.6240 0.0000
Sn 0.8760 0.1240 0.7500
O 0.0991 0.8660 0.4946
O 0.1098 0.6315 0.2699
O 0.1189 0.3563 0.9907
O 0.1232 0.1424 0.7674
O 0.1315 0.3902 0.5199
O 0.1340 0.9009 0.0054
O 0.1424 0.1232 0.2326
O 0.1437 0.6189 0.7407
O 0.3563 0.1189 0.0093
O 0.3576 0.6232 0.5174
O 0.3660 0.4009 0.7446
O 0.3685 0.8902 0.2301
O 0.3768 0.6424 0.9826
O 0.3811 0.8563 0.7593
O 0.3902 0.1315 0.4801
O 0.4009 0.3660 0.2554
O 0.5991 0.6340 0.7554
O 0.6098 0.8685 0.9801
O 0.6189 0.1437 0.2593
O 0.6232 0.3576 0.4826
O 0.6315 0.1098 0.7301
O 0.6340 0.5991 0.2446
O 0.6424 0.3768 0.0174
O 0.6437 0.8811 0.5093
O 0.8563 0.3811 0.2407
O 0.8576 0.8768 0.7326
O 0.8660 0.0991 0.5054
O 0.8685 0.6098 0.0199
O 0.8768 0.8576 0.2674
O 0.8811 0.6437 0.4907
O 0.8902 0.3685 0.7699
O 0.9009 0.1340 0.9946


Starting from a PBE+U-relaxed structure, the powder XRD pattern of Li2Cr3SnO8 was calculated for Cu Kα (weighted mean of Kα1 and Kα2).
Kinematic intensities with the Lorentz-polarization factor, no thermal factor.

Top 6 peaks for 15° ≤ 2θ ≤ 90°, in order of falling intensity:
- 2θ = 18.04°, rel. 100.0
- 2θ = 42.16°, rel. 51.0
- 2θ = 34.76°, rel. 35.1
- 2θ = 34.23°, rel. 20.6
- 2θ = 60.45°, rel. 15.9
- 2θ = 61.83°, rel. 15.7

Cell and atoms:
abc: 6.1287 6.1287 6.1287
angles: 58.64 58.64 58.64
Positions (direct):
Li 0.1189 0.1189 0.1189
Li 0.8811 0.8811 0.8811
Cr 0.0000 0.5000 0.5000
Cr 0.5000 0.0000 0.5000
Cr 0.5000 0.5000 0.0000
Sn 0.5000 0.5000 0.5000
O 0.2569 0.2569 0.7151
O 0.2569 0.7151 0.2569
O 0.2697 0.2697 0.2697
O 0.2849 0.7431 0.7431
O 0.7151 0.2569 0.2569
O 0.7303 0.7303 0.7303
O 0.7431 0.2849 0.7431
O 0.7431 0.7431 0.2849


Starting from a PBE+U-relaxed structure, the powder XRD pattern of Li2Cr3SnO8 was calculated for Cu Kα (weighted mean of Kα1 and Kα2).
Kinematic intensities with the Lorentz-polarization factor, no thermal factor.

Top 6 peaks for 15° ≤ 2θ ≤ 90°, in order of falling intensity:
- 2θ = 18.07°, rel. 100.0
- 2θ = 42.20°, rel. 49.9
- 2θ = 18.22°, rel. 43.6
- 2θ = 34.96°, rel. 34.5
- 2θ = 34.21°, rel. 29.1
- 2θ = 42.43°, rel. 24.3

Cell and atoms:
abc: 5.9542 5.9542 10.7044
angles: 106.11 106.11 60.59
Positions (direct):
Li 0.0574 0.5584 0.6813
Li 0.4416 0.9426 0.8187
Li 0.5584 0.0574 0.1813
Li 0.9426 0.4416 0.3187
Cr 0.0000 0.0000 0.0000
Cr 0.0000 0.0000 0.5000
Cr 0.0000 0.5000 0.0000
Cr 0.5000 0.0000 0.5000
Cr 0.5000 0.5000 0.0000
Cr 0.5000 0.5000 0.5000
Sn 0.2457 0.7543 0.2500
Sn 0.7543 0.2457 0.7500
O 0.1038 0.1447 0.8860
O 0.1233 0.6278 0.8997
O 0.1442 0.6415 0.3846
O 0.1447 0.1038 0.3860
O 0.3474 0.3994 0.1129
O 0.3585 0.8558 0.1154
O 0.3723 0.8767 0.6003
O 0.3994 0.3474 0.6129
O 0.6006 0.6526 0.3871
O 0.6278 0.1233 0.3997
O 0.6415 0.1442 0.8846
O 0.6526 0.6006 0.8871
O 0.8553 0.8962 0.6140
O 0.8558 0.3585 0.6154
O 0.8767 0.3723 0.1003
O 0.8962 0.8553 0.1140